Entry 1:
Structure and computed XRD peak list of Ac5CdPt2 (the PBE geometry in Alexandria; Cu Kα, 1.54184 Å).
Intensities are scaled so that the largest is 1000.

The 10 most intense peaks (2θ = 15–90°), most intense first:
(2 1 3), d = 2.992 Å, I = 1000; (1 2 3), d = 3.045 Å, I = 962; (1 3 0), d = 2.750 Å, I = 563; (3 1 0), d = 2.650 Å, I = 491; (1 3 8), d = 1.533 Å, I = 334; (0 2 4), d = 2.823 Å, I = 291; (1 1 4), d = 3.153 Å, I = 272; (3 3 4), d = 1.767 Å, I = 236; (1 2 5), d = 2.350 Å, I = 234; (2 1 5), d = 2.326 Å, I = 233

Structural model:
a = 8.343 Å, b = 8.739 Å, c = 14.790 Å
α = 90.00°, β = 90.00°, γ = 90.00°
Space group Ibam (No. 72)
Asymmetric unit:
Ac 0.000 0.000 0.000
Ac 0.154 0.335 0.135
Cd 0.000 0.000 0.250
Pt 0.143 0.368 0.500

Entry 2:
Structure and computed XRD peak list of Ac3Cd2Pt3 (the PBE geometry in Alexandria; Cu Kα, 1.54184 Å).
Intensities are scaled so that the largest is 1000.

The 10 most intense peaks (2θ = 15–90°), most intense first:
(3 0 0), d = 2.632 Å, I = 1000; (1 1 2), d = 2.554 Å, I = 760; (2 1 1), d = 2.686 Å, I = 452; (3 0 2), d = 2.002 Å, I = 376; (0 0 2), d = 3.082 Å, I = 318; (1 1 0), d = 4.559 Å, I = 301; (3 0 4), d = 1.330 Å, I = 243; (2 2 2), d = 1.833 Å, I = 223; (4 2 1), d = 1.450 Å, I = 179; (3 1 1), d = 2.064 Å, I = 177

Structural model:
a = 9.1181 Å, b = 9.1181 Å, c = 6.1649 Å
α = 90.00°, β = 90.00°, γ = 120.00°
Space group P6_3/mcm (No. 193)
Asymmetric unit:
Ac 0.0000 0.2953 0.2500
Cd 0.3333 0.6667 0.0000
Pt 0.0000 0.3707 0.7500

Entry 3:
Structure and computed XRD peak list of Ac8CdPt6 (the PBE geometry in Alexandria; Cu Kα, 1.54184 Å).
Intensities are scaled so that the largest is 1000.

The 10 most intense peaks (2θ = 15–90°), most intense first:
(2 2 1), d = 2.448 Å, I = 1000; (3 0 0), d = 3.363 Å, I = 919; (3 -1 1), d = 2.916 Å, I = 788; (5 -2 1), d = 2.060 Å, I = 381; (2 -1 1), d = 3.577 Å, I = 347; (0 0 2), d = 2.267 Å, I = 272; (6 0 0), d = 1.680 Å, I = 265; (3 1 0), d = 2.795 Å, I = 252; (0 6 2), d = 1.350 Å, I = 206; (8 -5 1), d = 1.372 Å, I = 175

Structural model:
a = 11.6358 Å, b = 11.6358 Å, c = 4.5348 Å
α = 90.00°, β = 90.00°, γ = 120.00°
Space group P-3 (No. 147)
Asymmetric unit:
Ac 0.0307 0.3539 0.2452
Ac 0.3333 0.6667 0.7503
Cd 0.0000 0.0000 0.0000
Pt 0.1488 0.6635 0.2524